No. 1
For AsBrOF8, a cell relaxed with GGA-PBE gives the calculated powder diffractogram in this record (Cu Ka).
No peak broadening, texture or thermal motion is included.

Largest 10 diffraction maxima, sorted by position, 2θ = 5–70°:
2theta, I_rel
14.06, 21
17.19, 17
19.94, 59
22.28, 87
22.35, 100
24.42, 26
24.55, 26
33.39, 17
43.08, 17
52.43, 18

Atomic structure:
Lattice parameters (Å, degrees): 8.8986 8.9013 8.9193 90.00 90.54 90.00
Positions (direct):
As  0.1117  0.0000  0.1356
As  0.3840  0.2228  0.6392
As  0.6160  0.7228  0.3608
As  0.8883  0.5000  0.8644
Br  0.0207  0.5590  0.2919
Br  0.4619  0.6267  0.7986
Br  0.5381  0.1267  0.2014
Br  0.9793  0.0590  0.7081
O  0.0424  0.9118  0.6317
O  0.3856  0.5667  0.9465
O  0.6144  0.0667  0.0535
O  0.9576  0.4118  0.3683
F  0.0839  0.4987  0.8656
F  0.1120  0.9844  0.9311
F  0.1173  0.6487  0.4428
F  0.1170  0.8000  0.1399
F  0.1195  0.1956  0.1176
F  0.1268  0.0088  0.3304
F  0.1785  0.2259  0.6303
F  0.1932  0.4971  0.2133
F  0.3118  0.7226  0.7066
F  0.3166  0.9938  0.1218
F  0.3720  0.4279  0.6362
F  0.3736  0.2292  0.8353
F  0.3809  0.0272  0.6366
F  0.3815  0.2299  0.4398
F  0.4205  0.7344  0.3571
F  0.4565  0.2997  0.1419
F  0.5435  0.7997  0.8581
F  0.5795  0.2344  0.6429
F  0.6185  0.7299  0.5602
F  0.6191  0.5272  0.3634
F  0.6264  0.7292  0.1647
F  0.6280  0.9279  0.3638
F  0.6834  0.4938  0.8782
F  0.6882  0.2226  0.2934
F  0.8068  0.9971  0.7867
F  0.8215  0.7259  0.3697
F  0.8732  0.5088  0.6696
F  0.8805  0.6956  0.8824
F  0.8827  0.1487  0.5572
F  0.8830  0.3000  0.8601
F  0.8880  0.4844  0.0689
F  0.9161  0.9987  0.1344

=====

No. 2
For Rb2AsBr2F4, a cell relaxed with GGA-PBE gives the calculated powder diffractogram in this record (Cu Ka).
No peak broadening, texture or thermal motion is included.

Largest 10 diffraction maxima, sorted by position, 2θ = 5–70°:
2theta, I_rel
25.11, 100
27.89, 24
33.22, 60
34.79, 43
35.81, 67
43.38, 30
51.54, 20
57.47, 23
57.64, 14
58.17, 25

Atomic structure:
Lattice parameters (Å, degrees): 6.5114 6.5114 6.5114 114.00 114.00 100.75
Positions (direct):
Rb  0.2500  0.7500  0.5000
Rb  0.7500  0.2500  0.5000
As  0.0000  0.0000  0.0000
Br  0.3087  0.3087  0.0000
Br  0.6913  0.6913  0.0000
F  0.1935  0.1935  0.3871
F  0.1935  0.8065  0.0000
F  0.8065  0.1935  0.0000
F  0.8065  0.8065  0.6129

=====

No. 3
For Rb3AsBr2F6, a cell relaxed with GGA-PBE gives the calculated powder diffractogram in this record (Cu Ka).
No peak broadening, texture or thermal motion is included.

Largest 10 diffraction maxima, sorted by position, 2θ = 5–70°:
2theta, I_rel
19.67, 34
20.83, 73
21.16, 83
21.65, 100
28.10, 61
29.94, 38
30.41, 51
33.60, 39
34.25, 35
39.94, 28

Atomic structure:
Lattice parameters (Å, degrees): 9.1331 9.1331 5.2406 91.92 91.92 51.85
Positions (direct):
Rb  0.0000  0.0000  0.0000
Rb  0.0000  0.5000  0.5000
Rb  0.5000  0.0000  0.5000
As  0.5000  0.5000  0.5000
Br  0.1984  0.1984  0.9962
Br  0.8016  0.8016  0.0038
F  0.3206  0.6383  0.2700
F  0.3617  0.6794  0.7300
F  0.3948  0.3948  0.5770
F  0.6052  0.6052  0.4230
F  0.6383  0.3206  0.2700
F  0.6794  0.3617  0.7300

=====

No. 4
For Rb2AsBr6F, a cell relaxed with GGA-PBE gives the calculated powder diffractogram in this record (Cu Ka).
No peak broadening, texture or thermal motion is included.

Largest 10 diffraction maxima, sorted by position, 2θ = 5–70°:
2theta, I_rel
14.38, 16
23.32, 7
29.00, 100
32.00, 34
34.38, 58
47.68, 42
49.41, 20
55.20, 13
58.32, 26
60.09, 21

Atomic structure:
Lattice parameters (Å, degrees): 7.6484 7.6484 7.6484 122.33 122.33 86.01
Positions (direct):
Rb  0.2500  0.7500  0.5000
Rb  0.7500  0.2500  0.5000
As  0.0000  0.0000  0.0000
Br  0.2288  0.2288  0.0000
Br  0.2416  0.2416  0.4833
Br  0.2416  0.7584  0.0000
Br  0.7584  0.2416  0.0000
Br  0.7584  0.7584  0.5167
Br  0.7712  0.7712  0.0000
F  0.5000  0.5000  0.0000